[1]
Starting from a cell relaxed with PBE, the XRD peak list of K2Ti3Se6 was calculated for Cu Kα X-rays.
No peak broadening, texture or thermal motion is included.

Unit cell a=6.388 b=11.064 c=8.225 alpha=90.00 beta=105.03 gamma=90.00
Space group C2/m (No. 12)
Asymmetric unit:
K1 0.000 0.167 0.000 (multiplicity 4)
Ti1 0.000 0.000 0.500 (multiplicity 2)
Ti2 0.000 0.332 0.500 (multiplicity 4)
Se1 0.227 0.500 0.689 (multiplicity 4)
Se2 0.231 0.165 0.690 (multiplicity 8)

The 10 most intense peaks (2θ from 10° to 80°), sorted by position:
| hkl | 2θ (°) | I/Imax |
| --- | --- | --- |
| 0 0 1 | 11.1 | 57 |
| 2 0 0 | 28.9 | 17 |
| 1 3 1 | 31.8 | 100 |
| 0 0 3 | 33.8 | 19 |
| 2 0 -3 | 38.7 | 26 |
| 2 0 2 | 41.5 | 26 |
| 0 6 0 | 49.4 | 33 |
| 2 0 3 | 50.9 | 18 |
| 4 0 0 | 60.0 | 15 |
| 0 6 3 | 61.2 | 12 |

[2]
Starting from a cell relaxed with PBE, the XRD peak list of SrCaDyNbO6 was calculated for Cu Kα X-rays.
No peak broadening, texture or thermal motion is included.

Unit cell a=8.406 b=8.406 c=8.406 alpha=90.00 beta=90.00 gamma=90.00
Space group F-43m (No. 216)
Asymmetric unit:
Sr1 0.000 0.000 0.000 (multiplicity 4)
Ca1 0.000 0.000 0.500 (multiplicity 4)
Dy1 0.250 0.250 0.750 (multiplicity 4)
Nb1 0.250 0.250 0.250 (multiplicity 4)
O1 0.012 0.250 0.250 (multiplicity 24)

The 10 most intense peaks (2θ from 10° to 80°), sorted by position:
| hkl | 2θ (°) | I/Imax |
| --- | --- | --- |
| 1 1 1 | 18.3 | 9 |
| 2 0 0 | 21.1 | 25 |
| 2 2 0 | 30.1 | 100 |
| 3 1 1 | 35.4 | 7 |
| 4 0 0 | 43.0 | 34 |
| 4 2 0 | 48.4 | 10 |
| 4 2 2 | 53.4 | 40 |
| 4 4 0 | 62.5 | 21 |
| 6 2 0 | 70.9 | 18 |
| 4 4 4 | 78.9 | 7 |

[3]
Starting from a cell relaxed with PBE, the XRD peak list of La2Pm7Sm was calculated for Cu Kα X-rays.
No peak broadening, texture or thermal motion is included.

Unit cell a=6.792 b=29.585 c=3.510 alpha=90.00 beta=90.00 gamma=90.00
Space group Cmmm (No. 65)
Asymmetric unit:
La1 0.000 0.204 0.000 (multiplicity 4)
Pm1 0.000 0.000 0.000 (multiplicity 2)
Pm2 0.000 0.312 0.500 (multiplicity 4)
Pm3 0.245 0.402 0.000 (multiplicity 8)
Sm1 0.000 0.500 0.500 (multiplicity 2)

The 10 most intense peaks (2θ from 10° to 80°), sorted by position:
| hkl | 2θ (°) | I/Imax |
| --- | --- | --- |
| 1 1 1 | 28.8 | 41 |
| 2 4 0 | 28.9 | 69 |
| 0 10 0 | 30.2 | 80 |
| 0 6 1 | 31.3 | 32 |
| 2 6 0 | 32.0 | 77 |
| 1 5 1 | 32.5 | 100 |
| 2 4 1 | 38.9 | 27 |
| 0 10 1 | 39.8 | 23 |
| 3 5 1 | 50.4 | 24 |
| 2 6 2 | 62.5 | 23 |